The following is a computed PXRD pattern of Li2MnO2F. It was derived from a structure optimized by DFT (GGA+U), using a wavelength of 1.5418 Å.
Lines closer than 0.1° are merged.

Peak list (10 most intense, 5° ≤ 2θ ≤ 70°, by angle)
| (hkl) | Position (°2θ) | Rel. int. |
| --- | --- | --- |
| 0 0 2 | 18.2 | 100 |
| 1 0 0 | 19.8 | 20 |
| 0 1 1 | 20.5 | 17 |
| 1 1 1 | 20.9 | 21 |
| 1 1 -1 | 23.3 | 27 |
| -1 1 1 | 34.8 | 15 |
| -1 1 3 | 42.2 | 46 |
| 1 2 -2 | 43.0 | 44 |
| 2 1 3 | 43.3 | 43 |
| 3 0 0 | 62.0 | 23 |

Atomic structure:
```
data_Li2MnO2F
_chemical_formula_sum 'Li8 Mn4 O8 F4'
_cell_length_a 5.1506
_cell_length_b 5.1703
_cell_length_c 9.8841
_cell_angle_alpha 79.68
_cell_angle_beta 85.92
_cell_angle_gamma 60.75
_space_group_name_H-M_alt 'P 1'
_space_group_IT_number 1
loop_
_space_group_symop_operation_xyz
'x,y,z'
loop_
_atom_site_label
_atom_site_fract_x
_atom_site_fract_y
_atom_site_fract_z
_atom_site_occupancy
Li1 0.0000 0.0000 0.0000 1
Li2 0.0019 0.2489 0.2396 1
Li3 0.0604 0.4366 0.4926 1
Li4 0.0677 0.6996 0.7360 1
Li5 0.3509 0.1010 0.7487 1
Li6 0.3638 0.5408 0.2414 1
Li7 0.6960 0.8685 0.2532 1
Li8 0.7467 0.3392 0.7464 1
Mn1 0.3558 0.3172 0.9939 1
Mn2 0.3773 0.7935 0.4960 1
Mn3 0.7003 0.1506 0.4951 1
Mn4 0.7118 0.6458 0.9903 1
O1 0.0369 0.5837 0.1074 1
O2 0.0424 0.0724 0.6010 1
O3 0.0510 0.3578 0.8734 1
O4 0.3845 0.4473 0.6136 1
O5 0.4034 0.1420 0.3879 1
O6 0.6660 0.3171 0.1004 1
O7 0.6689 0.0243 0.8900 1
O8 0.6802 0.5175 0.3809 1
F1 0.0258 0.8454 0.3558 1
F2 0.3500 0.9321 0.1319 1
F3 0.3717 0.7131 0.8628 1
F4 0.7271 0.7650 0.6243 1
```